Entry 1:
Simulated XRD peak list
Compound: Li5Th2Pt3N2
Radiation: Cu Ka
Structure: the PBE geometry in Alexandria

Crystal structure
Unit cell a=11.9293 b=11.9293 c=11.9293 alpha=159.81 beta=159.81 gamma=28.70
Element x y z (fractional)
Li 0.0000 0.0000 0.0000
Li 0.0740 0.5740 0.5000
Li 0.4260 0.9260 0.5000
Li 0.5740 0.0740 0.5000
Li 0.9260 0.4260 0.5000
Th 0.1856 0.1856 0.0000
Th 0.8144 0.8144 0.0000
Pt 0.3194 0.3194 0.0000
Pt 0.5000 0.5000 0.0000
Pt 0.6806 0.6806 0.0000
N 0.0954 0.0954 0.0000
N 0.9046 0.9046 0.0000

The 12 most intense peaks (2θ from 10° to 80°), low angle first:
2θ/deg  d_spacing  I_rel
23.09  3.852  608
24.22  3.675  187
30.23  2.957  1000
30.95  2.889  171
31.22  2.865  223
38.38  2.346  739
43.27  2.091  411
43.81  2.066  241
49.61  1.838  331
50.09  1.821  186
71.33  1.322  176
76.11  1.251  210

***

Entry 2:
Simulated XRD peak list
Compound: Tm2Si7Rh12
Radiation: Cu Ka
Structure: the PBE geometry in Alexandria

Crystal structure
Unit cell a=9.7214 b=9.7214 c=3.8368 alpha=90.00 beta=90.00 gamma=120.00
Element x y z (fractional)
Tm 0.3333 0.6667 0.2499
Tm 0.6667 0.3333 0.7501
Si 0.0000 0.0000 0.0000
Si 0.1116 0.4015 0.7492
Si 0.2899 0.8884 0.7492
Si 0.4015 0.2899 0.2508
Si 0.5985 0.7101 0.7492
Si 0.7101 0.1116 0.2508
Si 0.8884 0.5985 0.2508
Rh 0.0645 0.6194 0.7484
Rh 0.1191 0.8563 0.2453
Rh 0.1437 0.2627 0.2453
Rh 0.2627 0.1191 0.7547
Rh 0.3806 0.4451 0.7484
Rh 0.4451 0.0645 0.2516
Rh 0.5549 0.9355 0.7484
Rh 0.6194 0.5549 0.2516
Rh 0.7373 0.8809 0.2453
Rh 0.8563 0.7373 0.7547
Rh 0.8809 0.1437 0.7547
Rh 0.9355 0.3806 0.2516

The 12 most intense peaks (2θ from 10° to 80°), low angle first:
2θ/deg  d_spacing  I_rel
28.04  3.182  146
36.69  2.449  1000
36.99  2.430  104
42.97  2.105  67
45.47  1.995  81
47.05  1.931  101
47.39  1.918  150
49.62  1.837  150
55.97  1.643  55
60.00  1.542  65
63.28  1.470  69
71.04  1.327  91

***

Entry 3:
Simulated XRD peak list
Compound: CsSn5Au4
Radiation: Cu Ka
Structure: the PBE geometry in Alexandria

Crystal structure
Unit cell a=7.6154 b=10.0144 c=7.1795 alpha=90.00 beta=90.00 gamma=90.00
Element x y z (fractional)
Cs 0.2500 0.2500 0.0152
Cs 0.7500 0.7500 0.9848
Sn 0.0264 0.5188 0.2826
Sn 0.0264 0.9812 0.2826
Sn 0.2500 0.7500 0.6610
Sn 0.4736 0.5188 0.2826
Sn 0.4736 0.9812 0.2826
Sn 0.5264 0.0188 0.7174
Sn 0.5264 0.4812 0.7174
Sn 0.7500 0.2500 0.3390
Sn 0.9736 0.0188 0.7174
Sn 0.9736 0.4812 0.7174
Au 0.0673 0.2500 0.5167
Au 0.2500 0.5893 0.9748
Au 0.2500 0.9107 0.9748
Au 0.4327 0.2500 0.5167
Au 0.5673 0.7500 0.4833
Au 0.7500 0.0893 0.0252
Au 0.7500 0.4107 0.0252
Au 0.9327 0.7500 0.4833

The 12 most intense peaks (2θ from 10° to 80°), low angle first:
2θ/deg  d_spacing  I_rel
21.64  4.107  392
26.50  3.364  1000
29.21  3.057  419
30.64  2.917  566
31.81  2.813  331
34.33  2.612  297
35.87  2.504  243
38.06  2.364  269
38.68  2.328  685
38.89  2.316  647
44.69  2.028  262
46.70  1.945  689

***

Entry 4:
Simulated XRD peak list
Compound: Ho4C7
Radiation: Cu Ka
Structure: the PBE geometry in Alexandria

Crystal structure
Unit cell a=3.7658 b=12.8836 c=13.9970 alpha=90.00 beta=92.42 gamma=90.00
Element x y z (fractional)
Ho 0.2174 0.1891 0.2916
Ho 0.2174 0.3109 0.7916
Ho 0.2490 0.5230 0.6101
Ho 0.2490 0.9770 0.1101
Ho 0.2539 0.7208 0.0039
Ho 0.2539 0.7792 0.5039
Ho 0.2643 0.0218 0.6078
Ho 0.2643 0.4782 0.1078
Ho 0.7357 0.5218 0.8922
Ho 0.7357 0.9782 0.3922
Ho 0.7461 0.2208 0.4961
Ho 0.7461 0.2792 0.9961
Ho 0.7510 0.0230 0.8899
Ho 0.7510 0.4770 0.3899
Ho 0.7826 0.6891 0.2084
Ho 0.7826 0.8109 0.7084
C 0.2214 0.6448 0.8413
C 0.2214 0.8552 0.3413
C 0.2366 0.1116 0.4461
C 0.2366 0.3884 0.9461
C 0.2466 0.5886 0.4538
C 0.2466 0.9114 0.9538
C 0.2585 0.5945 0.3588
C 0.2585 0.9055 0.8588
C 0.2608 0.6668 0.7510
C 0.2608 0.8332 0.2510
C 0.2811 0.6988 0.6598
C 0.2811 0.8012 0.1598
C 0.2908 0.5716 0.2671
C 0.2908 0.9284 0.7671
C 0.7092 0.0716 0.2329
C 0.7092 0.4284 0.7329
C 0.7189 0.1988 0.8402
C 0.7189 0.3012 0.3402
C 0.7392 0.1668 0.7490
C 0.7392 0.3332 0.2490
C 0.7415 0.0945 0.1412
C 0.7415 0.4055 0.6412
C 0.7534 0.0886 0.0462
C 0.7534 0.4114 0.5462
C 0.7634 0.6116 0.0539
C 0.7634 0.8884 0.5539
C 0.7786 0.1448 0.6587
C 0.7786 0.3552 0.1587

The 12 most intense peaks (2θ from 10° to 80°), low angle first:
2θ/deg  d_spacing  I_rel
27.35  3.261  447
27.70  3.221  305
28.27  3.157  344
28.44  3.139  229
29.06  3.073  1000
29.90  2.988  509
30.77  2.906  369
34.25  2.618  187
39.33  2.291  231
41.19  2.192  235
48.38  1.881  248
58.46  1.579  197

***

Entry 5:
Simulated XRD peak list
Compound: Mg3In2Ag7
Radiation: Cu Ka
Structure: the PBE geometry in Alexandria

Crystal structure
Unit cell a=4.7612 b=4.7614 c=10.5209 alpha=102.85 beta=102.85 gamma=90.60
Element x y z (fractional)
Mg 0.0000 0.0000 0.0000
Mg 0.3380 0.3388 0.6753
Mg 0.6620 0.6612 0.3247
In 0.1648 0.1659 0.3312
In 0.8352 0.8341 0.6688
Ag 0.0800 0.5813 0.1615
Ag 0.2512 0.7504 0.5000
Ag 0.4196 0.9205 0.8385
Ag 0.5000 0.5000 0.0000
Ag 0.5804 0.0795 0.1615
Ag 0.7488 0.2496 0.5000
Ag 0.9200 0.4187 0.8385

The 12 most intense peaks (2θ from 10° to 80°), low angle first:
2θ/deg  d_spacing  I_rel
22.97  3.872  436
37.79  2.381  1000
37.92  2.373  985
38.13  2.360  970
54.20  1.692  168
54.82  1.675  162
55.22  1.664  155
68.16  1.376  162
68.22  1.375  162
68.53  1.369  160
68.66  1.367  159
68.79  1.365  155

***

Entry 6:
Simulated XRD peak list
Compound: LiEr4S5
Radiation: Cu Ka
Structure: the PBE geometry in Alexandria

Crystal structure
Unit cell a=6.6603 b=6.6603 c=6.6603 alpha=99.55 beta=99.55 gamma=131.93
Element x y z (fractional)
Li 0.0000 0.0000 0.0000
Er 0.2008 0.3987 0.5994
Er 0.3987 0.7992 0.1979
Er 0.6013 0.2008 0.8021
Er 0.7992 0.6013 0.4006
S 0.0961 0.7060 0.8022
S 0.2940 0.0961 0.3901
S 0.5000 0.5000 0.0000
S 0.7060 0.9039 0.6099
S 0.9039 0.2940 0.1978

The 12 most intense peaks (2θ from 10° to 80°), low angle first:
2θ/deg  d_spacing  I_rel
14.56  6.083  154
19.34  4.589  170
20.65  4.301  83
28.44  3.138  751
32.96  2.718  1000
47.30  1.922  721
56.08  1.640  229
56.21  1.637  121
58.85  1.569  246
76.41  1.246  93
78.67  1.216  212
78.86  1.214  107

***

Entry 7:
Simulated XRD peak list
Compound: Er4ScPb5
Radiation: Cu Ka
Structure: the PBE geometry in Alexandria

Crystal structure
Unit cell a=7.5935 b=7.5935 c=7.5935 alpha=99.63 beta=99.63 gamma=131.72
Element x y z (fractional)
Er 0.0939 0.6960 0.7900
Er 0.3040 0.0939 0.3979
Er 0.6960 0.9061 0.6021
Er 0.9061 0.3040 0.2100
Sc 0.4840 0.4840 0.0000
Pb 0.2111 0.3991 0.6098
Pb 0.3991 0.7893 0.1880
Pb 0.6012 0.2111 0.8120
Pb 0.7893 0.6012 0.3902
Pb 0.9825 0.9825 0.0000

The 12 most intense peaks (2θ from 10° to 80°), low angle first:
2θ/deg  d_spacing  I_rel
24.87  3.581  71
28.79  3.101  1000
30.93  2.891  20
36.07  2.490  18
41.17  2.193  768
48.69  1.870  38
51.01  1.790  272
59.54  1.553  43
59.67  1.549  83
67.52  1.387  235
67.59  1.386  113
75.03  1.266  256

***

Entry 8:
Simulated XRD peak list
Compound: TbGa4Co2
Radiation: Cu Ka
Structure: the PBE geometry in Alexandria

Crystal structure
Unit cell a=16.8547 b=4.1527 c=6.3541 alpha=90.00 beta=90.00 gamma=90.00
Element x y z (fractional)
Tb 0.1392 0.2500 0.0120
Tb 0.3608 0.7500 0.5120
Tb 0.6392 0.2500 0.4880
Tb 0.8608 0.7500 0.9880
Ga 0.0320 0.7500 0.8407
Ga 0.0723 0.2500 0.5040
Ga 0.1864 0.7500 0.3152
Ga 0.1946 0.7500 0.7195
Ga 0.3054 0.2500 0.2195
Ga 0.3136 0.2500 0.8152
Ga 0.4277 0.7500 0.0040
Ga 0.4680 0.2500 0.3407
Ga 0.5320 0.7500 0.6593
Ga 0.5723 0.2500 0.9960
Ga 0.6864 0.7500 0.1848
Ga 0.6946 0.7500 0.7805
Ga 0.8054 0.2500 0.2805
Ga 0.8136 0.2500 0.6848
Ga 0.9277 0.7500 0.4960
Ga 0.9680 0.2500 0.1593
Co 0.0383 0.7500 0.2457
Co 0.2159 0.2500 0.5198
Co 0.2841 0.7500 0.0198
Co 0.4617 0.2500 0.7457
Co 0.5383 0.7500 0.2543
Co 0.7159 0.2500 0.9802
Co 0.7841 0.7500 0.4802
Co 0.9617 0.2500 0.7543

The 12 most intense peaks (2θ from 10° to 80°), low angle first:
2θ/deg  d_spacing  I_rel
35.38  2.537  102
37.18  2.418  1000
38.70  2.327  181
40.05  2.252  194
43.59  2.076  253
45.78  1.982  103
55.79  1.648  61
58.03  1.589  69
60.67  1.526  112
65.06  1.434  75
70.87  1.330  181
75.81  1.255  73

***

Entry 9:
Simulated XRD peak list
Compound: Cd2Te2Pb
Radiation: Cu Ka
Structure: the PBE geometry in Alexandria

Crystal structure
Unit cell a=6.2013 b=6.2013 c=6.2013 alpha=124.82 beta=124.82 gamma=81.83
Element x y z (fractional)
Cd 0.1456 0.1456 0.0000
Cd 0.8544 0.8544 0.0000
Te 0.2500 0.7500 0.5000
Te 0.7500 0.2500 0.5000
Pb 0.5000 0.5000 0.0000

The 12 most intense peaks (2θ from 10° to 80°), low angle first:
2θ/deg  d_spacing  I_rel
21.88  4.061  175
29.10  3.069  790
31.14  2.872  1000
32.63  2.744  660
44.63  2.030  460
45.73  1.984  516
54.16  1.694  284
56.36  1.632  137
63.84  1.458  204
64.95  1.436  173
65.81  1.419  172
73.78  1.284  164

***

Entry 10:
Simulated XRD peak list
Compound: Ca3PtI3
Radiation: Cu Ka
Structure: the PBE geometry in Alexandria

Crystal structure
Unit cell a=9.0525 b=4.3661 c=12.4548 alpha=90.00 beta=91.20 gamma=90.00
Element x y z (fractional)
Ca 0.0992 0.2500 0.3888
Ca 0.1288 0.2500 0.8513
Ca 0.3285 0.7500 0.6279
Ca 0.6715 0.2500 0.3721
Ca 0.8712 0.7500 0.1487
Ca 0.9008 0.7500 0.6112
Pt 0.1157 0.2500 0.6213
Pt 0.8843 0.7500 0.3787
I 0.1244 0.2500 0.1228
I 0.3733 0.7500 0.8784
I 0.3871 0.7500 0.3729
I 0.6129 0.2500 0.6271
I 0.6267 0.2500 0.1216
I 0.8756 0.7500 0.8772

The 12 most intense peaks (2θ from 10° to 80°), low angle first:
2θ/deg  d_spacing  I_rel
24.07  3.697  328
24.56  3.625  300
24.91  3.575  574
28.41  3.142  1000
28.68  3.113  488
39.84  2.263  180
40.49  2.228  360
41.11  2.196  358
41.36  2.183  185
47.83  1.902  167
51.10  1.787  191
67.58  1.386  159

***

Entry 11:
Simulated XRD peak list
Compound: ScFe3Si3
Radiation: Cu Ka
Structure: the PBE geometry in Alexandria

Crystal structure
Unit cell a=6.2172 b=6.2172 c=6.2172 alpha=90.00 beta=90.00 gamma=90.00
Element x y z (fractional)
Sc 0.0000 0.0000 0.0000
Sc 0.5000 0.5000 0.5000
Fe 0.0000 0.2500 0.5000
Fe 0.0000 0.7500 0.5000
Fe 0.2500 0.5000 0.0000
Fe 0.5000 0.0000 0.2500
Fe 0.5000 0.0000 0.7500
Fe 0.7500 0.5000 0.0000
Si 0.0000 0.5000 0.2500
Si 0.0000 0.5000 0.7500
Si 0.2500 0.0000 0.5000
Si 0.5000 0.2500 0.0000
Si 0.5000 0.7500 0.0000
Si 0.7500 0.0000 0.5000

The 12 most intense peaks (2θ from 10° to 80°), low angle first:
2θ/deg  d_spacing  I_rel
20.20  4.396  234
28.72  3.109  449
32.19  2.780  275
35.36  2.538  1000
46.17  1.966  49
50.88  1.795  302
53.11  1.724  60
55.29  1.662  500
59.47  1.554  269
67.36  1.390  132
69.25  1.357  46
71.13  1.326  111